Calculated X-ray powder pattern
Compound: Cr3O
Radiation: λ = 1.5418 Å (Cu Kα)
Structure: a cell relaxed with GGA+U
Intensities are scaled so that the largest is 100.

Cell and atoms:
a b c (Å): 5.2180 5.2180 5.2180
angles (deg): 90.00 90.00 90.00
Fractional positions:
Cr  0.0000  0.2500  0.5000
Cr  0.0000  0.7500  0.5000
Cr  0.2500  0.5000  0.0000
Cr  0.5000  0.0000  0.2500
Cr  0.5000  0.0000  0.7500
Cr  0.7500  0.5000  0.0000
O  0.0000  0.0000  0.0000
O  0.5000  0.5000  0.5000

Principal peaks in the range 10 to 90 degrees two-theta, in order of falling intensity:
| d/Å | 2θ (°) | intensity |
| --- | --- | --- |
| 2.334 | 38.6 | 100 |
| 2.130 | 42.4 | 31 |
| 3.690 | 24.1 | 21 |
| 1.447 | 64.4 | 19 |
| 1.139 | 85.2 | 16 |
| 2.609 | 34.4 | 15 |
| 1.506 | 61.6 | 14 |
| 1.395 | 67.1 | 13 |
| 1.304 | 72.5 | 8 |
| 1.650 | 55.7 | 4 |